For BaSrSb2Pd5, a crystal structure in Alexandria, relaxed with PBE gives the calculated X-ray powder pattern in this record (Cu Kα, 1.54184 Å).

Crystal structure
Unit cell a=4.9241 b=4.9241 c=8.7216 alpha=90.00 beta=90.00 gamma=90.00
Atoms (fractional coordinates):
Ba1 0.0000 0.0000 0.0000
Sr1 0.0000 0.0000 0.5000
Sb1 0.5000 0.5000 0.3236
Sb2 0.5000 0.5000 0.6764
Pd1 0.0000 0.5000 0.2241
Pd2 0.0000 0.5000 0.7759
Pd3 0.5000 0.0000 0.2241
Pd4 0.5000 0.0000 0.7759
Pd5 0.5000 0.5000 0.0000

Principal peaks in the range 2θ from 10° to 90°, in order of rising 2θ:
d [Å], 2θ (°), intensity
3.265, 27.3, 28
2.721, 32.9, 93
2.462, 36.5, 100
2.232, 40.4, 52
1.741, 52.6, 34
1.466, 63.4, 27

---

For La3Ag2, a crystal structure in Alexandria, relaxed with PBE gives the calculated X-ray powder pattern in this record (Cu Kα, 1.54184 Å).

Crystal structure
Unit cell a=10.5154 b=10.5154 c=10.5154 alpha=159.02 beta=159.02 gamma=29.84
Atoms (fractional coordinates):
La1 0.0000 0.0000 0.0000
La2 0.1863 0.1863 0.0000
La3 0.8137 0.8137 0.0000
Ag1 0.4045 0.4045 0.0000
Ag2 0.5955 0.5955 0.0000

Principal peaks in the range 2θ from 10° to 90°, in order of rising 2θ:
d [Å], 2θ (°), intensity
2.787, 32.1, 100
2.707, 33.1, 50
1.914, 47.5, 18
1.625, 56.6, 15
1.578, 58.5, 35
1.393, 67.2, 9

---

For NdInHg, a crystal structure in Alexandria, relaxed with PBE gives the calculated X-ray powder pattern in this record (Cu Kα, 1.54184 Å).

Crystal structure
Unit cell a=4.9466 b=4.9466 c=3.7778 alpha=90.00 beta=90.00 gamma=120.00
Atoms (fractional coordinates):
Nd1 0.0000 0.0000 0.0000
In1 0.6667 0.3333 0.5031
Hg1 0.3333 0.6667 0.4950

Principal peaks in the range 2θ from 10° to 90°, in order of rising 2θ:
d [Å], 2θ (°), intensity
2.833, 31.6, 100
2.473, 36.3, 76
1.863, 48.9, 30
1.501, 61.8, 32
1.488, 62.4, 29
1.428, 65.3, 14